1.
Theoretical X-ray powder pattern of MgCo4O8 for Cu Kα X-rays, from a DFT-relaxed cell (PBE+U, the Materials Project).
Neutral-atom scattering factors, no anomalous dispersion.

Most intense lines, 2θ = 5–70°, in order of falling intensity:
2θ/deg	intensity	(hkl)
18.1	100	0 0 3
44.7	57	0 2 4
37.5	28	0 2 1
66.5	15	2 2 0
63.5	15	2 0 8
58.1	14	0 2 7

Crystal structure
Lattice parameters (Å, degrees): 5.6215 5.6215 14.6718 90.00 90.00 120.00
Space group R-3m (No. 166, hexagonal axes)
Asymmetric unit:
Mg 0.0000 0.0000 0.0000 [3 per cell]
Co 0.0000 0.0000 0.5000 [3 per cell]
Co 0.0000 0.5000 0.5000 [9 per cell]
O 0.0000 0.0000 0.2292 [6 per cell]
O 0.0073 0.5037 0.7650 [18 per cell]

***

2.
Theoretical X-ray powder pattern of Mn3Fe8CuO16 for Cu Kα X-rays, from a DFT-relaxed cell (PBE+U, the Materials Project).
Neutral-atom scattering factors, no anomalous dispersion.

Most intense lines, 2θ = 5–70°, in order of falling intensity:
2θ/deg	intensity	(hkl)
34.4	100	1 1 6
60.5	46	2 2 0
29.2	30	1 1 0
55.1	26	2 0 14
41.8	21	2 0 8
17.8	13	0 1 2

Crystal structure
Lattice parameters (Å, degrees): 6.1137 6.1137 30.0140 90.00 90.00 120.00
Space group R3m (No. 160, hexagonal axes)
Asymmetric unit:
Mn 0.0000 0.0000 0.0000 [3 per cell]
Mn 0.0000 0.0000 0.1257 [3 per cell]
Mn 0.0000 0.0000 0.6250 [3 per cell]
Fe 0.0000 0.0000 0.3128 [3 per cell]
Fe 0.0000 0.0000 0.8129 [3 per cell]
Fe 0.0008 0.5004 0.0633 [9 per cell]
Fe 0.1670 0.3339 0.8956 [9 per cell]
Cu 0.0000 0.0000 0.5003 [3 per cell]
O 0.0000 0.0000 0.1946 [3 per cell]
O 0.0000 0.0000 0.4328 [3 per cell]
O 0.0000 0.0000 0.6944 [3 per cell]
O 0.0000 0.0000 0.9305 [3 per cell]
O 0.0353 0.5177 0.4356 [9 per cell]
O 0.0362 0.5181 0.9355 [9 per cell]
O 0.1809 0.3617 0.5225 [9 per cell]
O 0.1846 0.3693 0.0235 [9 per cell]

***

Repeat the first record exactly.
Theoretical X-ray powder pattern of MgCo4O8 for Cu Kα X-rays, from a DFT-relaxed cell (PBE+U, the Materials Project).
Neutral-atom scattering factors, no anomalous dispersion.

Most intense lines, 2θ = 5–70°, in order of falling intensity:
2θ/deg	intensity	(hkl)
18.1	100	0 0 3
44.7	57	0 2 4
37.5	28	0 2 1
66.5	15	2 2 0
63.5	15	2 0 8
58.1	14	0 2 7

Crystal structure
Lattice parameters (Å, degrees): 5.6215 5.6215 14.6718 90.00 90.00 120.00
Space group R-3m (No. 166, hexagonal axes)
Asymmetric unit:
Mg 0.0000 0.0000 0.0000 [3 per cell]
Co 0.0000 0.0000 0.5000 [3 per cell]
Co 0.0000 0.5000 0.5000 [9 per cell]
O 0.0000 0.0000 0.2292 [6 per cell]
O 0.0073 0.5037 0.7650 [18 per cell]

***

Please write out number 1 again, unchanged.
Theoretical X-ray powder pattern of MgCo4O8 for Cu Kα X-rays, from a DFT-relaxed cell (PBE+U, the Materials Project).
Neutral-atom scattering factors, no anomalous dispersion.

Most intense lines, 2θ = 5–70°, in order of falling intensity:
2θ/deg	intensity	(hkl)
18.1	100	0 0 3
44.7	57	0 2 4
37.5	28	0 2 1
66.5	15	2 2 0
63.5	15	2 0 8
58.1	14	0 2 7

Crystal structure
Lattice parameters (Å, degrees): 5.6215 5.6215 14.6718 90.00 90.00 120.00
Space group R-3m (No. 166, hexagonal axes)
Asymmetric unit:
Mg 0.0000 0.0000 0.0000 [3 per cell]
Co 0.0000 0.0000 0.5000 [3 per cell]
Co 0.0000 0.5000 0.5000 [9 per cell]
O 0.0000 0.0000 0.2292 [6 per cell]
O 0.0073 0.5037 0.7650 [18 per cell]